1.
Structure and calculated X-ray powder pattern of Li2MnV4CuO12 (the GGA+U geometry in the Materials Project; Cu Ka).

Main lines, sorted by position (2θ from 10° to 80°):
2θ/deg  I_rel
13.3  22.0
18.3  22.9
19.3  24.3
23.5  29.2
27.7  100.0
29.3  59.5
32.8  38.2
34.8  27.3
50.9  20.7
52.0  22.0

Structure:
Cell lengths 6.9369, 6.9369, 5.8432 Å; angles 105.53, 105.53, 83.17 degrees
Positions (direct):
Li (0.0000, 0.0000, 0.0000)
Li (0.5163, 0.4837, 0.5000)
Mn (0.6689, 0.3311, 0.0000)
V (0.1460, 0.4439, 0.0223)
V (0.3616, 0.0430, 0.4777)
V (0.5561, 0.8540, 0.9777)
V (0.9570, 0.6384, 0.5223)
Cu (0.8554, 0.1446, 0.5000)
O (0.1071, 0.6049, 0.8101)
O (0.1123, 0.6081, 0.3126)
O (0.1226, 0.1445, 0.4203)
O (0.3891, 0.3468, 0.0879)
O (0.3919, 0.8877, 0.6874)
O (0.3951, 0.8929, 0.1899)
O (0.5370, 0.2265, 0.5989)
O (0.6532, 0.6109, 0.9121)
O (0.7354, 0.0380, 0.0924)
O (0.7735, 0.4630, 0.4011)
O (0.8555, 0.8774, 0.5797)
O (0.9620, 0.2646, 0.9076)

=====

2.
Structure and calculated X-ray powder pattern of Li4Mn3V3Cu2O16 (the GGA+U geometry in the Materials Project; Cu Ka).

Main lines, sorted by position (2θ from 10° to 80°):
2θ/deg  I_rel
18.3  100.0
19.5  58.1
20.1  62.2
20.3  33.6
34.8  45.6
36.1  37.8
36.8  32.3
37.1  53.2
44.8  33.0
63.5  45.6

Structure:
Cell lengths 5.8739, 5.8739, 9.7121 Å; angles 93.51, 93.51, 59.28 degrees
Positions (direct):
Li (0.0000, 0.0000, 0.0000)
Li (0.0068, 0.0068, 0.5015)
Li (0.3104, 0.3104, 0.6060)
Li (0.6435, 0.6435, 0.1038)
Mn (0.1562, 0.1562, 0.2818)
Mn (0.3257, 0.8133, 0.7822)
Mn (0.8133, 0.3257, 0.7822)
V (0.1513, 0.6503, 0.2828)
V (0.6503, 0.1513, 0.2828)
V (0.8201, 0.8201, 0.7849)
Cu (0.3184, 0.3184, 0.0042)
Cu (0.6498, 0.6498, 0.5082)
O (0.0113, 0.4638, 0.1709)
O (0.1502, 0.1502, 0.8913)
O (0.1504, 0.6728, 0.8882)
O (0.3172, 0.8277, 0.3902)
O (0.3214, 0.3214, 0.3906)
O (0.4582, 0.4582, 0.1629)
O (0.4638, 0.0113, 0.1709)
O (0.4922, 0.4922, 0.6757)
O (0.4953, 0.9394, 0.6640)
O (0.6562, 0.6562, 0.8899)
O (0.6728, 0.1504, 0.8882)
O (0.8277, 0.3172, 0.3902)
O (0.8426, 0.8426, 0.3889)
O (0.9394, 0.4953, 0.6640)
O (0.9833, 0.9833, 0.6831)
O (0.9855, 0.9855, 0.1824)

=====

3.
Structure and calculated X-ray powder pattern of Li4Mn3V2Cu3O16 (the GGA+U geometry in the Materials Project; Cu Ka).

Main lines, sorted by position (2θ from 10° to 80°):
2θ/deg  I_rel
18.5  100.0
19.7  49.9
20.0  65.4
36.1  35.8
36.7  41.8
36.9  34.4
40.6  30.7
45.4  34.5
46.1  43.2
63.3  35.5

Structure:
Cell lengths 5.8768, 5.8768, 9.6074 Å; angles 91.48, 91.48, 59.35 degrees
Positions (direct):
Li (0.0000, 0.0000, 0.0000)
Li (0.0030, 0.0030, 0.5077)
Li (0.3289, 0.3289, 0.4147)
Li (0.6763, 0.6763, 0.9184)
Mn (0.1762, 0.1762, 0.7318)
Mn (0.3364, 0.8329, 0.2301)
Mn (0.8329, 0.3364, 0.2301)
V (0.3616, 0.3616, 0.9936)
V (0.6668, 0.6668, 0.5062)
Cu (0.1736, 0.6658, 0.7204)
Cu (0.6658, 0.1736, 0.7204)
Cu (0.8296, 0.8296, 0.2259)
O (0.0045, 0.0045, 0.8093)
O (0.0441, 0.4699, 0.8596)
O (0.1571, 0.1571, 0.1218)
O (0.1795, 0.6576, 0.1026)
O (0.3331, 0.3331, 0.6268)
O (0.3459, 0.8386, 0.6059)
O (0.4699, 0.0441, 0.8596)
O (0.4904, 0.4904, 0.8839)
O (0.4937, 0.9548, 0.3621)
O (0.5147, 0.5147, 0.3462)
O (0.6576, 0.1795, 0.1026)
O (0.6629, 0.6629, 0.1287)
O (0.8226, 0.8226, 0.5768)
O (0.8386, 0.3459, 0.6059)
O (0.9548, 0.4937, 0.3621)
O (0.9981, 0.9981, 0.3190)

=====

4.
Structure and calculated X-ray powder pattern of Li4Nb2V3Cu3O16 (the GGA+U geometry in the Materials Project; Cu Ka).

Main lines, sorted by position (2θ from 10° to 80°):
2θ/deg  I_rel
18.0  60.1
19.2  44.7
19.4  100.0
19.6  99.1
32.6  62.1
34.4  45.7
35.2  53.3
35.6  45.0
44.5  47.6
61.2  52.7

Structure:
Cell lengths 5.8785, 6.0637, 9.8411 Å; angles 88.53, 89.97, 61.03 degrees
Positions (direct):
Li (0.0000, 0.0000, 0.0000)
Li (0.0113, 0.9774, 0.5127)
Li (0.3633, 0.2721, 0.5923)
Li (0.6745, 0.6516, 0.0881)
Nb (0.3351, 0.3302, 0.9976)
Nb (0.6665, 0.6662, 0.4957)
V (0.1673, 0.1743, 0.2771)
V (0.6581, 0.1742, 0.2773)
V (0.8324, 0.3350, 0.7571)
Cu (0.1721, 0.6551, 0.2731)
Cu (0.3492, 0.8157, 0.7915)
Cu (0.8346, 0.8159, 0.7914)
O (0.0015, 0.9968, 0.7079)
O (0.0388, 0.4565, 0.1604)
O (0.1519, 0.1893, 0.9066)
O (0.1676, 0.6661, 0.9200)
O (0.3393, 0.8174, 0.4032)
O (0.3715, 0.2570, 0.3946)
O (0.4845, 0.0312, 0.1585)
O (0.5046, 0.4570, 0.1605)
O (0.5466, 0.9051, 0.6457)
O (0.5610, 0.4427, 0.6438)
O (0.6594, 0.1884, 0.9067)
O (0.6928, 0.6143, 0.8765)
O (0.8427, 0.8177, 0.4032)
O (0.8443, 0.3116, 0.3982)
O (0.9907, 0.0182, 0.1893)
O (0.9954, 0.4438, 0.6437)

=====

5.
Structure and calculated X-ray powder pattern of Li5Cu3Ni2O10 (the GGA+U geometry in the Materials Project; Cu Ka).

Main lines, sorted by position (2θ from 10° to 80°):
2θ/deg  I_rel
12.9  73.5
18.7  100.0
19.3  37.3
22.1  33.0
37.8  24.9
40.8  72.3
45.5  59.7
45.9  56.8
63.4  32.7
66.6  30.5

Structure:
Cell lengths 4.9792, 5.2590, 7.4823 Å; angles 105.09, 103.27, 103.99 degrees
Positions (direct):
Li (0.0000, 0.0000, 0.0000)
Li (0.1037, 0.2193, 0.7142)
Li (0.2916, 0.6029, 0.1011)
Li (0.7084, 0.3971, 0.8989)
Li (0.8963, 0.7807, 0.2858)
Cu (0.1963, 0.3876, 0.3972)
Cu (0.5000, 0.0000, 0.5000)
Cu (0.8037, 0.6124, 0.6028)
Ni (0.3995, 0.8244, 0.8076)
Ni (0.6005, 0.1756, 0.1924)
O (0.0564, 0.6198, 0.8368)
O (0.1595, 0.8316, 0.5757)
O (0.2856, 0.9767, 0.2525)
O (0.3708, 0.1674, 0.9553)
O (0.4418, 0.4785, 0.6640)
O (0.5582, 0.5215, 0.3360)
O (0.6292, 0.8326, 0.0447)
O (0.7144, 0.0233, 0.7475)
O (0.8405, 0.1684, 0.4243)
O (0.9436, 0.3802, 0.1632)

=====

6.
Structure and calculated X-ray powder pattern of Li5Cu2Ni3O10 (the GGA+U geometry in the Materials Project; Cu Ka).

Main lines, sorted by position (2θ from 10° to 80°):
2θ/deg  I_rel
12.7  81.4
18.7  100.0
18.8  48.8
22.7  29.6
35.1  23.1
37.6  55.2
42.4  77.9
44.3  65.7
44.6  70.2
63.2  21.6

Structure:
Cell lengths 5.0340, 5.1304, 7.6601 Å; angles 106.90, 102.90, 101.22 degrees
Positions (direct):
Li (0.0000, 0.0000, 0.0000)
Li (0.1152, 0.2124, 0.7157)
Li (0.2954, 0.5994, 0.0957)
Li (0.7046, 0.4006, 0.9043)
Li (0.8848, 0.7876, 0.2843)
Cu (0.4020, 0.8020, 0.8038)
Cu (0.5980, 0.1980, 0.1962)
Ni (0.1982, 0.3969, 0.3975)
Ni (0.5000, 0.0000, 0.5000)
Ni (0.8018, 0.6031, 0.6025)
O (0.0704, 0.6052, 0.8382)
O (0.1685, 0.7981, 0.5678)
O (0.2790, 0.0190, 0.2604)
O (0.3672, 0.2020, 0.9700)
O (0.4551, 0.3797, 0.6369)
O (0.5449, 0.6203, 0.3631)
O (0.6328, 0.7980, 0.0300)
O (0.7210, 0.9810, 0.7396)
O (0.8315, 0.2019, 0.4322)
O (0.9296, 0.3948, 0.1618)

=====

What did the sixth record say?
Structure and calculated X-ray powder pattern of Li5Cu2Ni3O10 (the GGA+U geometry in the Materials Project; Cu Ka).

Main lines, sorted by position (2θ from 10° to 80°):
2θ/deg  I_rel
12.7  81.4
18.7  100.0
18.8  48.8
22.7  29.6
35.1  23.1
37.6  55.2
42.4  77.9
44.3  65.7
44.6  70.2
63.2  21.6

Structure:
Cell lengths 5.0340, 5.1304, 7.6601 Å; angles 106.90, 102.90, 101.22 degrees
Positions (direct):
Li (0.0000, 0.0000, 0.0000)
Li (0.1152, 0.2124, 0.7157)
Li (0.2954, 0.5994, 0.0957)
Li (0.7046, 0.4006, 0.9043)
Li (0.8848, 0.7876, 0.2843)
Cu (0.4020, 0.8020, 0.8038)
Cu (0.5980, 0.1980, 0.1962)
Ni (0.1982, 0.3969, 0.3975)
Ni (0.5000, 0.0000, 0.5000)
Ni (0.8018, 0.6031, 0.6025)
O (0.0704, 0.6052, 0.8382)
O (0.1685, 0.7981, 0.5678)
O (0.2790, 0.0190, 0.2604)
O (0.3672, 0.2020, 0.9700)
O (0.4551, 0.3797, 0.6369)
O (0.5449, 0.6203, 0.3631)
O (0.6328, 0.7980, 0.0300)
O (0.7210, 0.9810, 0.7396)
O (0.8315, 0.2019, 0.4322)
O (0.9296, 0.3948, 0.1618)